Record 1
# CsNpCu2S4
Theoretical powder X-ray diffraction pattern, copper Kα. Input: a structure optimized by DFT (PBE).
Peak positions follow from Bragg's law for the DFT cell and can differ from measured ones.

Top 12 peaks for 2θ from 10° to 90°, in order of rising 2θ:
- 2θ 14.30, I = 712
- 2θ 17.41, I = 435
- 2θ 19.12, I = 254
- 2θ 21.38, I = 529
- 2θ 25.97, I = 1000
- 2θ 28.84, I = 350
- 2θ 33.84, I = 310
- 2θ 35.23, I = 525
- 2θ 40.40, I = 518
- 2θ 42.82, I = 441
- 2θ 47.93, I = 295
- 2θ 53.43, I = 269

Atomic structure:
Unit cell a=7.015 b=7.015 c=7.015 alpha=125.27 beta=107.34 gamma=97.15
Fractional positions:
Cs 0.000 0.000 0.000
Np 0.500 0.500 0.000
Cu 0.365 0.865 0.500
Cu 0.635 0.135 0.500
S 0.178 0.095 0.605
S 0.490 0.572 0.395
S 0.510 0.905 0.082
S 0.822 0.428 0.918

---

Record 2
# NbTcGe2
Theoretical powder X-ray diffraction pattern, copper Kα. Input: a structure optimized by DFT (PBE).
Peak positions follow from Bragg's law for the DFT cell and can differ from measured ones.

Top 12 peaks for 2θ from 10° to 90°, in order of rising 2θ:
- 2θ 21.81, I = 208
- 2θ 30.07, I = 448
- 2θ 36.21, I = 471
- 2θ 39.15, I = 631
- 2θ 40.66, I = 184
- 2θ 41.73, I = 1000
- 2θ 42.31, I = 219
- 2θ 44.22, I = 457
- 2θ 44.47, I = 151
- 2θ 51.83, I = 285
- 2θ 64.81, I = 197
- 2θ 69.18, I = 241

Atomic structure:
Unit cell a=6.626 b=6.626 c=5.069 alpha=100.42 beta=100.42 gamma=136.00
Fractional positions:
Nb 0.111 0.889 0.750
Nb 0.889 0.111 0.250
Tc 0.259 0.741 0.250
Tc 0.741 0.259 0.750
Ge 0.241 0.415 0.878
Ge 0.415 0.241 0.378
Ge 0.585 0.759 0.622
Ge 0.759 0.585 0.122

---

Record 3
# Sc4AlZn
Theoretical powder X-ray diffraction pattern, copper Kα. Input: a structure optimized by DFT (PBE).
Peak positions follow from Bragg's law for the DFT cell and can differ from measured ones.

Top 12 peaks for 2θ from 10° to 90°, in order of rising 2θ:
- 2θ 11.58, I = 90
- 2θ 22.24, I = 56
- 2θ 23.26, I = 326
- 2θ 26.92, I = 118
- 2θ 38.43, I = 1000
- 2θ 45.40, I = 157
- 2θ 55.48, I = 157
- 2θ 60.93, I = 47
- 2θ 69.48, I = 228
- 2θ 69.61, I = 74
- 2θ 82.26, I = 46
- 2θ 82.41, I = 45

Atomic structure:
Unit cell a=8.104 b=8.104 c=8.104 alpha=33.62 beta=33.62 gamma=33.62
Fractional positions:
Sc 0.123 0.123 0.123
Sc 0.373 0.373 0.373
Sc 0.627 0.627 0.627
Sc 0.877 0.877 0.877
Al 0.500 0.500 0.500
Zn 0.000 0.000 0.000

---

Record 4
# TbPaZnGe
Theoretical powder X-ray diffraction pattern, copper Kα. Input: a structure optimized by DFT (PBE).
Peak positions follow from Bragg's law for the DFT cell and can differ from measured ones.

Top 12 peaks for 2θ from 10° to 90°, in order of rising 2θ:
- 2θ 21.64, I = 37
- 2θ 25.03, I = 242
- 2θ 35.70, I = 1000
- 2θ 42.13, I = 22
- 2θ 44.10, I = 75
- 2θ 51.37, I = 178
- 2θ 56.37, I = 10
- 2θ 57.97, I = 104
- 2θ 64.13, I = 365
- 2θ 75.61, I = 113
- 2θ 81.11, I = 53
- 2θ 86.53, I = 164

Atomic structure:
Unit cell a=5.030 b=5.030 c=5.030 alpha=60.00 beta=60.00 gamma=60.00
Fractional positions:
Tb 0.000 0.000 0.000
Pa 0.500 0.500 0.500
Zn 0.750 0.750 0.750
Ge 0.250 0.250 0.250

---

Record 5
# Er2Fe17C3
Theoretical powder X-ray diffraction pattern, copper Kα. Input: a structure optimized by DFT (PBE).
Peak positions follow from Bragg's law for the DFT cell and can differ from measured ones.

Top 12 peaks for 2θ from 10° to 90°, in order of rising 2θ:
- 2θ 29.86, I = 467
- 2θ 33.57, I = 167
- 2θ 36.14, I = 404
- 2θ 40.52, I = 374
- 2θ 41.98, I = 738
- 2θ 42.36, I = 1000
- 2θ 43.48, I = 347
- 2θ 45.89, I = 197
- 2θ 61.16, I = 219
- 2θ 62.03, I = 211
- 2θ 76.70, I = 183
- 2θ 79.03, I = 190

Atomic structure:
Unit cell a=8.609 b=8.609 c=8.326 alpha=90.00 beta=90.00 gamma=120.00
Fractional positions:
Er 0.000 0.000 0.250
Er 0.000 0.000 0.750
Er 0.333 0.667 0.250
Er 0.667 0.333 0.750
Fe 0.000 0.500 0.000
Fe 0.000 0.500 0.500
Fe 0.052 0.379 0.750
Fe 0.052 0.674 0.750
Fe 0.168 0.336 0.020
Fe 0.168 0.336 0.480
Fe 0.168 0.832 0.020
Fe 0.168 0.832 0.480
Fe 0.326 0.379 0.750
Fe 0.326 0.948 0.750
Fe 0.333 0.667 0.607
Fe 0.333 0.667 0.893
Fe 0.336 0.168 0.520
Fe 0.336 0.168 0.980
Fe 0.379 0.052 0.250
Fe 0.379 0.326 0.250
Fe 0.500 0.000 0.000
Fe 0.500 0.000 0.500
Fe 0.500 0.500 0.000
Fe 0.500 0.500 0.500
Fe 0.621 0.674 0.750
Fe 0.621 0.948 0.750
Fe 0.664 0.832 0.020
Fe 0.664 0.832 0.480
Fe 0.667 0.333 0.107
Fe 0.667 0.333 0.393
Fe 0.674 0.052 0.250
Fe 0.674 0.621 0.250
Fe 0.832 0.168 0.520
Fe 0.832 0.168 0.980
Fe 0.832 0.664 0.520
Fe 0.832 0.664 0.980
Fe 0.948 0.326 0.250
Fe 0.948 0.621 0.250
C 0.165 0.331 0.250
C 0.165 0.835 0.250
C 0.331 0.165 0.750
C 0.669 0.835 0.250
C 0.835 0.165 0.750
C 0.835 0.669 0.750

---

Record 6
# Ca8Mg3Hg2
Theoretical powder X-ray diffraction pattern, copper Kα. Input: a structure optimized by DFT (PBE).
Peak positions follow from Bragg's law for the DFT cell and can differ from measured ones.

Top 12 peaks for 2θ from 10° to 90°, in order of rising 2θ:
- 2θ 10.36, I = 912
- 2θ 15.39, I = 503
- 2θ 18.58, I = 585
- 2θ 19.86, I = 354
- 2θ 22.45, I = 591
- 2θ 27.33, I = 325
- 2θ 28.92, I = 264
- 2θ 31.06, I = 472
- 2θ 32.07, I = 736
- 2θ 32.90, I = 1000
- 2θ 38.66, I = 296
- 2θ 51.77, I = 218

Atomic structure:
Unit cell a=9.640 b=9.640 c=5.758 alpha=90.00 beta=90.00 gamma=124.75
Fractional positions:
Ca 0.107 0.893 0.000
Ca 0.166 0.406 0.500
Ca 0.311 0.689 0.000
Ca 0.406 0.166 0.500
Ca 0.594 0.834 0.500
Ca 0.689 0.311 0.000
Ca 0.834 0.594 0.500
Ca 0.893 0.107 0.000
Mg 0.000 0.000 0.500
Mg 0.328 0.328 0.000
Mg 0.672 0.672 0.000
Hg 0.224 0.776 0.500
Hg 0.776 0.224 0.500